(1)
This entry pairs a crystal structure of PaFeCuSi2 with its calculated powder X-ray diffraction pattern. Radiation: Cu Kα (λ = 1.5418 Å). Structure: a crystal structure in Alexandria, relaxed with PBE.

Crystal structure
```
data_PaFeCuSi2
_cell_length_a 3.9720
_cell_length_b 3.9720
_cell_length_c 9.8066
_cell_angle_alpha 90.00
_cell_angle_beta 90.00
_cell_angle_gamma 90.00
_symmetry_space_group_name_H-M 'I -4 m 2'
_symmetry_Int_Tables_number 119
_symmetry_space_group_name_Hall 'I -4 -2'
loop_
_atom_site_label
_atom_site_type_symbol
_atom_site_fract_x
_atom_site_fract_y
_atom_site_fract_z
Pa1 Pa 0.0000 0.0000 0.0000
Fe1 Fe 0.0000 0.5000 0.7500
Cu1 Cu 0.0000 0.5000 0.2500
Si1 Si 0.0000 0.0000 0.3781
```

Largest 6 diffraction maxima, by angle, 2θ = 15–90°:
| hkl | 2θ (°) | intensity |
| --- | --- | --- |
| 1 0 1 | 24.17 | 76.2 |
| 1 0 3 | 35.57 | 60.4 |
| 1 1 2 | 36.88 | 100.0 |
| 2 0 0 | 45.68 | 36.1 |
| 1 0 5 | 52.00 | 21.7 |
| 2 1 3 | 59.20 | 28.4 |

(2)
This entry pairs a crystal structure of FeCuPb with its calculated powder X-ray diffraction pattern. Radiation: Cu Kα (λ = 1.5418 Å). Structure: a crystal structure in Alexandria, relaxed with PBE.

Crystal structure
```
data_FeCuPb
_cell_length_a 3.1212
_cell_length_b 3.4231
_cell_length_c 9.7891
_cell_angle_alpha 90.00
_cell_angle_beta 90.00
_cell_angle_gamma 90.00
_symmetry_space_group_name_H-M 'I m m 2'
_symmetry_Int_Tables_number 44
loop_
_symmetry_equiv_pos_as_xyz
'x,y,z'
'-x,-y,z'
'-x,y,z'
'x,-y,z'
'x+1/2,y+1/2,z+1/2'
'-x+1/2,-y+1/2,z+1/2'
'-x+1/2,y+1/2,z+1/2'
'x+1/2,-y+1/2,z+1/2'
loop_
_atom_site_label
_atom_site_type_symbol
_atom_site_fract_x
_atom_site_fract_y
_atom_site_fract_z
Fe1 Fe 0.0000 0.0000 0.0000
Cu1 Cu 0.0000 0.0000 0.3885
Pb1 Pb 0.0000 0.0000 0.6945
```

Largest 6 diffraction maxima, by angle, 2θ = 15–90°:
| hkl | 2θ (°) | intensity |
| --- | --- | --- |
| 0 1 1 | 27.61 | 56.9 |
| 1 0 1 | 30.05 | 46.2 |
| 0 1 3 | 38.10 | 96.6 |
| 1 1 0 | 39.05 | 100.0 |
| 1 0 3 | 39.97 | 84.5 |
| 1 1 4 | 54.68 | 35.4 |